1.
Calculated XRD peak list of Ti8GeH6 for Cu Ka, from a crystal structure in Alexandria, relaxed with GGA-PBE.

Main lines, low angle first (10 to 90 degrees two-theta):
- d 5.470, rel. 45
- d 2.896, rel. 25
- d 2.359, rel. 950
- d 2.347, rel. 1000
- d 1.823, rel. 36
- d 1.683, rel. 21
- d 1.664, rel. 303
- d 1.364, rel. 132
- d 1.357, rel. 287
- d 1.355, rel. 153
- d 1.179, rel. 79
- d 1.174, rel. 92

Crystal structure
a = 5.516 Å, b = 5.516 Å, c = 5.516 Å
α = 94.97°, β = 94.97°, γ = 94.97°
Fractional positions:
Ti (0.070, 0.735, 0.403)
Ti (0.187, 0.187, 0.187)
Ti (0.265, 0.597, 0.930)
Ti (0.403, 0.070, 0.735)
Ti (0.597, 0.930, 0.265)
Ti (0.735, 0.403, 0.070)
Ti (0.813, 0.813, 0.813)
Ti (0.930, 0.265, 0.597)
Ge (0.500, 0.500, 0.500)
H (0.025, 0.326, 0.930)
H (0.070, 0.975, 0.674)
H (0.326, 0.930, 0.025)
H (0.674, 0.070, 0.975)
H (0.930, 0.025, 0.326)
H (0.975, 0.674, 0.070)


2.
Calculated XRD peak list of Ti3GeH2 for Cu Ka, from a crystal structure in Alexandria, relaxed with GGA-PBE.

Main lines, low angle first (10 to 90 degrees two-theta):
- d 2.462, rel. 450
- d 2.451, rel. 492
- d 2.357, rel. 429
- d 2.243, rel. 1000
- d 1.980, rel. 190
- d 1.975, rel. 280
- d 1.516, rel. 98
- d 1.475, rel. 103
- d 1.450, rel. 150
- d 1.338, rel. 132
- d 1.264, rel. 104
- d 1.250, rel. 99

Crystal structure
a = 2.949 Å, b = 9.429 Å, c = 5.076 Å
α = 90.00°, β = 90.00°, γ = 90.00°
Fractional positions:
Ti (0.000, 0.106, 0.000)
Ti (0.000, 0.360, 0.701)
Ti (0.000, 0.640, 0.201)
Ti (0.000, 0.894, 0.500)
Ti (0.500, 0.378, 0.196)
Ti (0.500, 0.622, 0.696)
Ge (0.500, 0.137, 0.472)
Ge (0.500, 0.863, 0.972)
H (0.000, 0.462, 0.374)
H (0.000, 0.538, 0.874)
H (0.500, 0.255, 0.909)
H (0.500, 0.745, 0.409)


3.
Calculated XRD peak list of Ti2GeH2 for Cu Ka, from a crystal structure in Alexandria, relaxed with GGA-PBE.

Main lines, low angle first (10 to 90 degrees two-theta):
- d 2.447, rel. 517
- d 2.413, rel. 1000
- d 2.240, rel. 816
- d 1.979, rel. 560
- d 1.539, rel. 235
- d 1.433, rel. 178
- d 1.374, rel. 154
- d 1.370, rel. 153
- d 1.324, rel. 137
- d 1.245, rel. 110
- d 1.219, rel. 101
- d 1.110, rel. 150

Crystal structure
a = 6.512 Å, b = 5.505 Å, c = 4.980 Å
α = 76.61°, β = 55.33°, γ = 48.07°
Fractional positions:
Ti (0.040, 0.710, 0.040)
Ti (0.290, 0.960, 0.290)
Ti (0.710, 0.040, 0.710)
Ti (0.960, 0.290, 0.960)
Ge (0.375, 0.375, 0.375)
Ge (0.625, 0.625, 0.625)
H (0.001, 0.001, 0.749)
H (0.251, 0.251, 0.999)
H (0.749, 0.749, 0.001)
H (0.999, 0.999, 0.251)


4.
Calculated XRD peak list of Ti4GeH2 for Cu Ka, from a crystal structure in Alexandria, relaxed with GGA-PBE.

Main lines, low angle first (10 to 90 degrees two-theta):
- d 4.758, rel. 179
- d 3.957, rel. 495
- d 3.042, rel. 306
- d 2.629, rel. 565
- d 2.502, rel. 524
- d 2.412, rel. 1000
- d 2.379, rel. 862
- d 2.062, rel. 485
- d 2.057, rel. 471
- d 1.926, rel. 308
- d 1.916, rel. 584
- d 1.314, rel. 196

Crystal structure
a = 6.346 Å, b = 6.331 Å, c = 7.913 Å
α = 51.46°, β = 51.29°, γ = 77.25°
Fractional positions:
Ti (0.158, 0.284, 0.971)
Ti (0.279, 0.663, 0.092)
Ti (0.284, 0.158, 0.587)
Ti (0.308, 0.692, 0.439)
Ti (0.663, 0.279, 0.966)
Ti (0.689, 0.811, 0.558)
Ti (0.692, 0.308, 0.561)
Ti (0.811, 0.689, 0.942)
Ge (0.111, 0.111, 0.389)
Ge (0.861, 0.861, 0.139)
H (0.430, 0.540, 0.265)
H (0.485, 0.985, 0.710)
H (0.540, 0.430, 0.765)
H (0.985, 0.485, 0.820)


5.
Calculated XRD peak list of Ti6Ge3H for Cu Ka, from a crystal structure in Alexandria, relaxed with GGA-PBE.

Main lines, low angle first (10 to 90 degrees two-theta):
- d 3.955, rel. 116
- d 2.558, rel. 140
- d 2.449, rel. 140
- d 2.373, rel. 106
- d 2.331, rel. 205
- d 2.300, rel. 99
- d 2.251, rel. 1000
- d 2.236, rel. 296
- d 1.978, rel. 100
- d 1.774, rel. 87
- d 1.307, rel. 77
- d 1.294, rel. 94

Crystal structure
a = 8.143 Å, b = 8.143 Å, c = 4.897 Å
α = 90.00°, β = 90.00°, γ = 110.95°
Fractional positions:
Ti (0.079, 0.553, 0.705)
Ti (0.080, 0.920, 0.500)
Ti (0.261, 0.397, 0.135)
Ti (0.267, 0.733, 0.207)
Ti (0.397, 0.261, 0.635)
Ti (0.447, 0.921, 0.705)
Ti (0.553, 0.079, 0.205)
Ti (0.603, 0.739, 0.135)
Ti (0.733, 0.267, 0.707)
Ti (0.739, 0.603, 0.635)
Ti (0.920, 0.080, 0.000)
Ti (0.921, 0.447, 0.205)
Ge (0.044, 0.238, 0.515)
Ge (0.238, 0.044, 0.015)
Ge (0.410, 0.590, 0.653)
Ge (0.590, 0.410, 0.153)
Ge (0.762, 0.956, 0.515)
Ge (0.956, 0.762, 0.015)
H (0.215, 0.785, 0.560)
H (0.785, 0.215, 0.060)


6.
Calculated XRD peak list of U3Ge2H2 for Cu Ka, from a crystal structure in Alexandria, relaxed with GGA-PBE.

Main lines, low angle first (10 to 90 degrees two-theta):
- d 6.810, rel. 314
- d 3.405, rel. 1000
- d 2.809, rel. 784
- d 2.649, rel. 797
- d 2.463, rel. 733
- d 2.388, rel. 977
- d 2.294, rel. 804
- d 1.999, rel. 654
- d 1.818, rel. 312
- d 1.732, rel. 281
- d 1.440, rel. 229
- d 1.352, rel. 242

Crystal structure
a = 5.726 Å, b = 5.726 Å, c = 8.341 Å
α = 123.91°, β = 123.91°, γ = 29.92°
Fractional positions:
U (0.000, 0.000, 0.000)
U (0.120, 0.120, 0.488)
U (0.880, 0.880, 0.512)
Ge (0.341, 0.341, 0.169)
Ge (0.659, 0.659, 0.831)
H (0.368, 0.368, 0.731)
H (0.632, 0.632, 0.269)